# 1
Diffraction record for NiCl2O6. The powder diffractogram is calculated, not measured: it uses the GGA+U geometry in the Materials Project and Cu Kα (weighted mean of Kα1 and Kα2).
No peak broadening, texture or thermal motion is included.

The 10 most intense peaks (2θ from 10° to 80°), in order of rising 2θ:
- 2θ 16.59, rel. 73
- 2θ 16.95, rel. 70
- 2θ 20.30, rel. 43
- 2θ 23.11, rel. 49
- 2θ 26.88, rel. 100
- 2θ 35.77, rel. 30
- 2θ 41.42, rel. 18
- 2θ 41.76, rel. 20
- 2θ 42.99, rel. 27
- 2θ 45.29, rel. 20

Cell and atoms:
```
18
Lattice="5.6428 0.0000 0.0000 0.0000 7.6968 0.0000 -3.0064 0.0000 7.4247" Properties=species:S:1:pos:R:3 pbc="T T T"
Ni 0.0000 0.0000 0.0000
Ni -1.5032 3.8484 3.7123
Cl -1.5826 0.0730 5.7750
Cl -0.0794 3.7754 2.0627
Cl 2.7158 3.9214 5.3620
Cl 4.2190 7.6238 1.6497
O 0.9125 1.4946 0.4847
O -0.5907 2.3537 4.1971
O -0.4792 5.2859 4.1419
O 1.0240 6.2592 0.4296
O -0.1672 3.8872 6.8179
O 1.3360 7.6579 3.1055
O 1.3004 0.0388 4.3192
O 2.8037 3.8095 0.6068
O 1.6124 1.4375 6.9951
O 3.1156 2.4108 3.2828
O 3.2271 5.3430 3.2276
O 1.7239 6.2021 6.9400
```



# 2
Diffraction record for NiCl2O6. The powder diffractogram is calculated, not measured: it uses the GGA+U geometry in the Materials Project and Cu Kα (weighted mean of Kα1 and Kα2).
No peak broadening, texture or thermal motion is included.

The 10 most intense peaks (2θ from 10° to 80°), in order of rising 2θ:
- 2θ 17.79, rel. 100
- 2θ 23.26, rel. 21
- 2θ 30.53, rel. 24
- 2θ 33.06, rel. 67
- 2θ 36.00, rel. 25
- 2θ 36.50, rel. 29
- 2θ 40.45, rel. 35
- 2θ 46.36, rel. 23
- 2θ 51.84, rel. 35
- 2θ 53.51, rel. 17

Cell and atoms:
```
9
Lattice="5.4413 -2.4936 0.0000 5.4413 2.4936 0.0000 -3.2527 0.0000 4.9939" Properties=species:S:1:pos:R:3 pbc="T T T"
Ni 0.0000 0.0000 0.0000
Cl 1.0877 0.0000 2.2544
Cl 6.5422 0.0000 2.7395
O 4.1495 1.1260 0.9117
O 3.4805 1.1260 4.0822
O 4.2308 0.0000 0.1943
O 3.3992 0.0000 4.7996
O 4.1495 -1.1260 0.9117
O 3.4805 -1.1260 4.0822
```



# 3
Diffraction record for NiCl2O2. The powder diffractogram is calculated, not measured: it uses the GGA+U geometry in the Materials Project and Cu Kα (weighted mean of Kα1 and Kα2).
No peak broadening, texture or thermal motion is included.

The 10 most intense peaks (2θ from 10° to 80°), in order of rising 2θ:
- 2θ 15.51, rel. 75
- 2θ 15.80, rel. 100
- 2θ 16.65, rel. 100
- 2θ 28.23, rel. 84
- 2θ 30.85, rel. 64
- 2θ 33.67, rel. 29
- 2θ 37.83, rel. 43
- 2θ 41.36, rel. 31
- 2θ 41.83, rel. 49
- 2θ 52.83, rel. 27

Cell and atoms:
```
10
Lattice="6.2280 -3.3861 0.0000 6.2280 3.3861 0.0000 -3.4669 0.0000 5.7118" Properties=species:S:1:pos:R:3 pbc="T T T"
Ni 6.2280 1.6938 0.0000
Ni 6.2280 -1.6938 0.0000
Cl -2.3085 0.0000 4.6075
Cl 4.8817 0.0000 0.8639
Cl 4.1073 0.0000 4.8479
Cl 11.2976 0.0000 1.1043
O 1.6270 1.6239 2.2957
O 1.6270 -1.6239 2.2957
O 7.3621 1.6239 3.4161
O 7.3621 -1.6239 3.4161
```



> Number 1 is which compound?

NiCl2O6